# 1
For Pm2AgHg, a structure optimized by DFT (PBE) gives the computed PXRD pattern in this record (Cu Kα X-rays).

Main lines, in order of falling intensity (5° ≤ 2θ ≤ 70°):
two_theta	I_rel
33.6	1000
60.0	374
48.2	181
20.4	44
39.6	28
52.8	13
64.1	10

abc: 7.5527 7.5527 7.5527
angles: 90.00 90.00 90.00
Positions (direct):
Pm: 0.2500 0.2500 0.2500
Pm: 0.2500 0.2500 0.7500
Pm: 0.2500 0.7500 0.2500
Pm: 0.2500 0.7500 0.7500
Pm: 0.7500 0.2500 0.2500
Pm: 0.7500 0.2500 0.7500
Pm: 0.7500 0.7500 0.2500
Pm: 0.7500 0.7500 0.7500
Ag: 0.0000 0.0000 0.0000
Ag: 0.0000 0.5000 0.5000
Ag: 0.5000 0.0000 0.5000
Ag: 0.5000 0.5000 0.0000
Hg: 0.0000 0.0000 0.5000
Hg: 0.0000 0.5000 0.0000
Hg: 0.5000 0.0000 0.0000
Hg: 0.5000 0.5000 0.5000

---

# 2
For K3Th, a structure optimized by DFT (PBE) gives the computed PXRD pattern in this record (Cu Kα X-rays).

Main lines, in order of falling intensity (5° ≤ 2θ ≤ 70°):
two_theta	I_rel
26.1	1000
17.1	701
13.3	302
31.8	298
25.6	278
42.1	271
53.3	267
26.8	234
36.3	233
46.9	197

abc: 5.6264 5.6264 13.3070
angles: 90.00 90.00 90.00
Positions (direct):
K: 0.0000 0.0000 0.0000
K: 0.0000 0.5000 0.2500
K: 0.0000 0.5000 0.7500
K: 0.5000 0.0000 0.2500
K: 0.5000 0.0000 0.7500
K: 0.5000 0.5000 0.5000
Th: 0.0000 0.0000 0.5000
Th: 0.5000 0.5000 0.0000

---

# 3
For Pb3SO6, a structure optimized by DFT (PBE) gives the computed PXRD pattern in this record (Cu Kα X-rays).

Main lines, in order of falling intensity (5° ≤ 2θ ≤ 70°):
two_theta	I_rel
26.8	1000
29.0	836
30.4	381
29.2	341
10.9	321
48.3	229
43.0	202
36.6	188
51.8	156
53.1	154

abc: 7.3636 5.8882 8.3304
angles: 90.00 104.04 90.00
Positions (direct):
Pb: 0.0775 0.2500 0.3778
Pb: 0.2391 0.2500 0.8427
Pb: 0.3926 0.7500 0.5860
Pb: 0.6074 0.2500 0.4140
Pb: 0.7609 0.7500 0.1573
Pb: 0.9225 0.7500 0.6222
S: 0.2937 0.7500 0.1428
S: 0.7063 0.2500 0.8572
O: 0.1625 0.7500 0.9777
O: 0.1779 0.5005 0.6212
O: 0.1779 0.9995 0.6212
O: 0.1839 0.7500 0.2749
O: 0.4185 0.5445 0.1650
O: 0.4185 0.9555 0.1650
O: 0.5815 0.0445 0.8350
O: 0.5815 0.4555 0.8350
O: 0.8161 0.2500 0.7251
O: 0.8221 0.0005 0.3788
O: 0.8221 0.4995 0.3788
O: 0.8375 0.2500 0.0223

---

# 4
For SiMo, a structure optimized by DFT (PBE) gives the computed PXRD pattern in this record (Cu Kα X-rays).

Main lines, in order of falling intensity (5° ≤ 2θ ≤ 70°):
two_theta	I_rel
42.0	1000
33.0	575
25.3	237
58.9	215
62.9	168
51.9	106
65.2	96
69.2	63

abc: 3.1336 3.1336 3.5233
angles: 90.00 90.00 120.00
Positions (direct):
Si: 0.0000 0.0000 0.0000
Mo: 0.3333 0.6667 0.5000